No. 1
Structure and calculated powder diffractogram of NaPmSbO4 (a cell relaxed with GGA-PBE; Cu Kα (λ = 1.5418 Å)).
Kinematic intensities with the Lorentz-polarization factor, no thermal factor.

Unit cell a=5.9415 b=5.9415 c=7.3141 alpha=90.00 beta=90.00 gamma=113.89
Sites, in units of the cell vectors:
Na: 0.1728 0.8272 0.7500
Na: 0.8272 0.1728 0.2500
Pm: 0.5000 0.5000 0.0000
Pm: 0.5000 0.5000 0.5000
Sb: 0.1477 0.8523 0.2500
Sb: 0.8523 0.1477 0.7500
O: 0.2354 0.2850 0.7500
O: 0.2684 0.7316 0.0386
O: 0.2684 0.7316 0.4614
O: 0.2850 0.2354 0.2500
O: 0.7150 0.7646 0.7500
O: 0.7316 0.2684 0.5386
O: 0.7316 0.2684 0.9614
O: 0.7646 0.7150 0.2500

Largest 8 diffraction maxima, by angle, 10 to 90 degrees two-theta:
| Position (°2θ) | I/Imax |
| --- | --- |
| 20.36 | 32 |
| 21.59 | 22 |
| 27.52 | 47 |
| 29.44 | 100 |
| 30.26 | 80 |
| 41.41 | 29 |
| 49.87 | 37 |
| 52.68 | 33 |

=====

No. 2
Structure and calculated powder diffractogram of Hg2PdF4 (a cell relaxed with GGA-PBE; Cu Kα (λ = 1.5418 Å)).
Kinematic intensities with the Lorentz-polarization factor, no thermal factor.

Unit cell a=4.2913 b=4.7362 c=6.5826 alpha=99.43 beta=106.65 gamma=98.96
Sites, in units of the cell vectors:
Hg: 0.0066 0.0794 0.3197
Hg: 0.9934 0.9206 0.6803
Pd: 0.5000 0.5000 0.0000
F: 0.2009 0.7845 0.0125
F: 0.4920 0.4036 0.2817
F: 0.5080 0.5964 0.7183
F: 0.7991 0.2155 0.9875

Largest 8 diffraction maxima, by angle, 10 to 90 degrees two-theta:
| Position (°2θ) | I/Imax |
| --- | --- |
| 19.45 | 42 |
| 22.18 | 84 |
| 26.23 | 100 |
| 26.76 | 83 |
| 31.29 | 61 |
| 32.71 | 72 |
| 44.17 | 38 |
| 44.31 | 59 |